[1]
Computed powder XRD pattern
Compound: LiDy2Ir
Radiation: Cu Kα (λ = 1.5418 Å)
Structure: a DFT-relaxed cell (GGA-PBE, the Materials Project)
Intensities are scaled so that the largest is 100.

Top 10 peaks for 10° ≤ 2θ ≤ 80°, sorted by position:
- 22.12°, d = 4.018 Å, rel. 30
- 25.60°, d = 3.480 Å, rel. 8
- 36.52°, d = 2.460 Å, rel. 100
- 43.11°, d = 2.098 Å, rel. 16
- 52.60°, d = 1.740 Å, rel. 18
- 57.75°, d = 1.597 Å, rel. 7
- 59.39°, d = 1.556 Å, rel. 3
- 65.73°, d = 1.421 Å, rel. 36
- 70.29°, d = 1.339 Å, rel. 5
- 77.61°, d = 1.230 Å, rel. 11

Atomic structure:
a = 4.9209 Å, b = 4.9209 Å, c = 4.9209 Å
α = 60.00°, β = 60.00°, γ = 60.00°
Sites, in units of the cell vectors:
Li  0.0000  0.0000  0.0000
Dy  0.2500  0.2500  0.2500
Dy  0.7500  0.7500  0.7500
Ir  0.5000  0.5000  0.5000

[2]
Computed powder XRD pattern
Compound: NaDyIrO4
Radiation: Cu Kα (λ = 1.5418 Å)
Structure: a DFT-relaxed cell (GGA-PBE, the Materials Project)
Intensities are scaled so that the largest is 100.

Top 10 peaks for 10° ≤ 2θ ≤ 80°, sorted by position:
- 10.70°, d = 8.266 Å, rel. 45
- 18.42°, d = 4.815 Å, rel. 33
- 18.93°, d = 4.689 Å, rel. 27
- 32.50°, d = 2.755 Å, rel. 82
- 33.25°, d = 2.695 Å, rel. 32
- 33.38°, d = 2.684 Å, rel. 40
- 33.54°, d = 2.672 Å, rel. 100
- 46.96°, d = 1.935 Å, rel. 32
- 47.83°, d = 1.902 Å, rel. 32
- 58.83°, d = 1.570 Å, rel. 31

Atomic structure:
a = 3.2516 Å, b = 9.3821 Å, c = 9.3821 Å
α = 118.24°, β = 90.00°, γ = 90.00°
Sites, in units of the cell vectors:
Na  0.0000  0.0000  0.0000
Na  0.5000  0.0208  0.7197
Na  0.5000  0.7197  0.0208
Dy  0.5000  0.3184  0.3184
Dy  0.5000  0.3631  0.7060
Dy  0.5000  0.7060  0.3631
Ir  0.0000  0.0237  0.3472
Ir  0.0000  0.3472  0.0237
Ir  0.0000  0.6880  0.6880
O  0.0000  0.2370  0.7796
O  0.0000  0.2773  0.4712
O  0.0000  0.4712  0.2773
O  0.0000  0.5557  0.8061
O  0.0000  0.7796  0.2370
O  0.0000  0.8061  0.5557
O  0.5000  0.0203  0.4744
O  0.5000  0.0344  0.2139
O  0.5000  0.2139  0.0344
O  0.5000  0.4744  0.0203
O  0.5000  0.5581  0.5581
O  0.5000  0.8182  0.8182

[3]
Computed powder XRD pattern
Compound: Dy2NiIr
Radiation: Cu Kα (λ = 1.5418 Å)
Structure: a DFT-relaxed cell (GGA-PBE, the Materials Project)
Intensities are scaled so that the largest is 100.

Top 10 peaks for 10° ≤ 2θ ≤ 80°, sorted by position:
- 22.57°, d = 3.940 Å, rel. 11
- 26.12°, d = 3.412 Å, rel. 2
- 37.27°, d = 2.413 Å, rel. 100
- 44.01°, d = 2.057 Å, rel. 6
- 53.73°, d = 1.706 Å, rel. 17
- 59.00°, d = 1.565 Å, rel. 3
- 60.70°, d = 1.526 Å, rel. 1
- 67.21°, d = 1.393 Å, rel. 35
- 71.90°, d = 1.313 Å, rel. 2
- 79.45°, d = 1.206 Å, rel. 11

Atomic structure:
a = 4.8251 Å, b = 4.8251 Å, c = 4.8251 Å
α = 60.00°, β = 60.00°, γ = 60.00°
Sites, in units of the cell vectors:
Dy  0.2500  0.2500  0.2500
Dy  0.7500  0.7500  0.7500
Ni  0.0000  0.0000  0.0000
Ir  0.5000  0.5000  0.5000

[4]
Computed powder XRD pattern
Compound: Dy2IrPd
Radiation: Cu Kα (λ = 1.5418 Å)
Structure: a DFT-relaxed cell (GGA-PBE, the Materials Project)
Intensities are scaled so that the largest is 100.

Top 8 peaks for 10° ≤ 2θ ≤ 80°, sorted by position:
- 22.23°, d = 3.999 Å, rel. 4
- 36.70°, d = 2.449 Å, rel. 100
- 43.33°, d = 2.088 Å, rel. 2
- 52.87°, d = 1.732 Å, rel. 18
- 58.04°, d = 1.589 Å, rel. 1
- 66.08°, d = 1.414 Å, rel. 36
- 70.67°, d = 1.333 Å, rel. 1
- 78.04°, d = 1.224 Å, rel. 11

Atomic structure:
a = 4.8978 Å, b = 4.8978 Å, c = 4.8978 Å
α = 60.00°, β = 60.00°, γ = 60.00°
Sites, in units of the cell vectors:
Dy  0.2500  0.2500  0.2500
Dy  0.7500  0.7500  0.7500
Ir  0.0000  0.0000  0.0000
Pd  0.5000  0.5000  0.5000

[5]
Computed powder XRD pattern
Compound: Dy2IrRh
Radiation: Cu Kα (λ = 1.5418 Å)
Structure: a DFT-relaxed cell (GGA-PBE, the Materials Project)
Intensities are scaled so that the largest is 100.

Top 8 peaks for 10° ≤ 2θ ≤ 80°, sorted by position:
- 22.43°, d = 3.963 Å, rel. 4
- 37.04°, d = 2.427 Å, rel. 100
- 43.74°, d = 2.070 Å, rel. 2
- 53.39°, d = 1.716 Å, rel. 18
- 58.62°, d = 1.575 Å, rel. 1
- 66.76°, d = 1.401 Å, rel. 36
- 71.40°, d = 1.321 Å, rel. 1
- 78.88°, d = 1.213 Å, rel. 11

Atomic structure:
a = 4.8539 Å, b = 4.8539 Å, c = 4.8539 Å
α = 60.00°, β = 60.00°, γ = 60.00°
Sites, in units of the cell vectors:
Dy  0.2500  0.2500  0.2500
Dy  0.7500  0.7500  0.7500
Ir  0.0000  0.0000  0.0000
Rh  0.5000  0.5000  0.5000

[6]
Computed powder XRD pattern
Compound: Dy2IrRu
Radiation: Cu Kα (λ = 1.5418 Å)
Structure: a DFT-relaxed cell (GGA-PBE, the Materials Project)
Intensities are scaled so that the largest is 100.

Top 8 peaks for 10° ≤ 2θ ≤ 80°, sorted by position:
- 22.55°, d = 3.943 Å, rel. 4
- 37.24°, d = 2.414 Å, rel. 100
- 43.98°, d = 2.059 Å, rel. 3
- 53.69°, d = 1.707 Å, rel. 18
- 58.96°, d = 1.567 Å, rel. 1
- 67.16°, d = 1.394 Å, rel. 36
- 71.83°, d = 1.314 Å, rel. 1
- 79.38°, d = 1.207 Å, rel. 11

Atomic structure:
a = 4.8286 Å, b = 4.8286 Å, c = 4.8286 Å
α = 60.00°, β = 60.00°, γ = 60.00°
Sites, in units of the cell vectors:
Dy  0.2500  0.2500  0.2500
Dy  0.7500  0.7500  0.7500
Ir  0.0000  0.0000  0.0000
Ru  0.5000  0.5000  0.5000